Diffraction record for Li3Co11O14. The XRD peak list is calculated, not measured: it uses a cell relaxed with PBE+U and a wavelength of 1.5418 Å.

The 6 most intense peaks (2θ from 10° to 80°), by angle:
d (Å), Rel. int.
2.425, 42.6
2.411, 42.0
2.100, 50.4
2.091, 100.0
1.484, 42.0
1.481, 27.8

Structural model:
a = 10.708 Å, b = 10.708 Å, c = 5.136 Å
α = 94.68°, β = 94.68°, γ = 152.32°
Sites, in units of the cell vectors:
Li  0.000  0.000  0.000
Li  0.359  0.641  0.500
Li  0.641  0.359  0.500
Co  0.071  0.929  0.500
Co  0.139  0.861  0.000
Co  0.216  0.784  0.500
Co  0.287  0.713  0.000
Co  0.429  0.571  0.000
Co  0.500  0.500  0.500
Co  0.571  0.429  0.000
Co  0.713  0.287  0.000
Co  0.784  0.216  0.500
Co  0.861  0.139  0.000
Co  0.929  0.071  0.500
O  0.022  0.459  0.272
O  0.080  0.377  0.745
O  0.196  0.333  0.256
O  0.268  0.268  0.729
O  0.333  0.196  0.256
O  0.377  0.080  0.745
O  0.459  0.022  0.272
O  0.541  0.978  0.728
O  0.623  0.920  0.255
O  0.667  0.804  0.744
O  0.732  0.732  0.271
O  0.804  0.667  0.744
O  0.920  0.623  0.255
O  0.978  0.541  0.728